# YNb2NO5
Calculated powder diffractogram, copper Kα. Input: a cell relaxed with PBE.
No peak broadening, texture or thermal motion is included.

Top 8 peaks for 10 to 80 degrees two-theta, sorted by position:
2θ = 23.23°, intensity 17
2θ = 28.82°, intensity 100
2θ = 30.00°, intensity 12
2θ = 34.02°, intensity 12
2θ = 47.50°, intensity 9
2θ = 49.39°, intensity 10
2θ = 50.32°, intensity 15
2θ = 60.31°, intensity 12

Structure:
```
data_YNb2NO5
_space_group_name_H-M_alt 'P 1'
_space_group_IT_number 1
_cell_length_a 5.2708
_cell_length_b 14.9913
_cell_length_c 5.9572
_cell_angle_alpha 90.00
_cell_angle_beta 90.31
_cell_angle_gamma 90.00
loop_
_space_group_symop_operation_xyz
'x,y,z'
loop_
_atom_site_label
_atom_site_fract_x
_atom_site_fract_y
_atom_site_fract_z
Y1 0.0000 0.2481 0.0000
Y2 0.0000 0.7519 0.5000
Y3 0.4806 0.2482 0.5927
Y4 0.4806 0.7518 0.0927
Nb1 0.4720 0.4131 0.1097
Nb2 0.4720 0.5869 0.6097
Nb3 0.5209 0.0825 0.1148
Nb4 0.5209 0.9175 0.6148
Nb5 0.9713 0.4180 0.4812
Nb6 0.9713 0.5820 0.9812
Nb7 0.9995 0.0761 0.4824
Nb8 0.9995 0.9239 0.9824
N1 0.3525 0.3321 0.9081
N2 0.3525 0.6679 0.4081
N3 0.8377 0.0066 0.1795
N4 0.8377 0.9934 0.6795
O1 0.1358 0.1663 0.6816
O2 0.1358 0.8337 0.1816
O3 0.1484 0.4943 0.1663
O4 0.1484 0.5057 0.6663
O5 0.2199 0.1523 0.2148
O6 0.2199 0.8477 0.7148
O7 0.2844 0.3525 0.3861
O8 0.2844 0.6475 0.8861
O9 0.3354 0.0052 0.4323
O10 0.3354 0.9948 0.9323
O11 0.6429 0.1655 0.9067
O12 0.6429 0.8345 0.4067
O13 0.6660 0.4953 0.4343
O14 0.6660 0.5047 0.9343
O15 0.7060 0.1522 0.3832
O16 0.7060 0.8478 0.8832
O17 0.7894 0.3492 0.2129
O18 0.7894 0.6508 0.7129
O19 0.8485 0.3321 0.6792
O20 0.8485 0.6679 0.1792
```